Entry 1:
This entry pairs a crystal structure of NiMo with its computed X-ray diffraction stick pattern. Radiation: Cu Ka. Structure: a structure optimized by DFT (PBE).
No peak broadening, texture or thermal motion is included.

Atomic structure:
Lattice parameters (Å, degrees): 6.017 6.017 6.017 90.00 90.00 90.00
Space group Fd-3m (No. 227, origin choice 2)
Asymmetric unit:
Ni 0.125 0.125 0.125 [8 per cell]
Mo 0.125 0.125 0.625 [8 per cell]

The 7 most intense peaks (10 to 90 degrees two-theta), low angle first:
two_theta  d [Å]  intensity  h k l
25.64  3.474  53  1 1 1
42.49  2.127  1000  2 2 0
50.29  1.814  25  3 1 1
61.66  1.504  157  4 0 0
67.90  1.380  11  3 3 1
77.76  1.228  315  4 2 2
83.48  1.158  10  5 1 1



Entry 2:
This entry pairs a crystal structure of In12GaBi6 with its computed X-ray diffraction stick pattern. Radiation: Cu Ka. Structure: a structure optimized by DFT (PBE).
No peak broadening, texture or thermal motion is included.

Atomic structure:
```
data_In12GaBi6
_cell_length_a 11.7547
_cell_length_b 11.7547
_cell_length_c 14.2222
_cell_angle_alpha 90.00
_cell_angle_beta 90.00
_cell_angle_gamma 120.00
_symmetry_space_group_name_H-M 'R -3'
_symmetry_Int_Tables_number 148
_symmetry_space_group_name_Hall '-R 3'
loop_
_atom_site_label
_atom_site_type_symbol
_atom_site_fract_x
_atom_site_fract_y
_atom_site_fract_z
In1 In 0.0547 0.1898 0.2900
In2 In 0.0817 0.8770 0.9078
Ga1 Ga 0.0000 0.0000 0.5000
Bi1 Bi 0.0529 0.4641 0.2369
```

The 10 most intense peaks (10 to 90 degrees two-theta), low angle first:
two_theta  d [Å]  intensity  h k l
24.12  3.690  373  1 1 3
26.29  3.390  253  3 0 0
30.67  2.915  240  0 2 4
32.33  2.769  783  1 3 1
32.45  2.759  1000  0 3 3
32.69  2.740  188  0 1 5
34.17  2.624  520  4 -1 2
34.34  2.611  361  2 1 4
40.63  2.221  238  1 4 0
56.48  1.629  202  3 4 2



Entry 3:
This entry pairs a crystal structure of Co3CuPd2Se8 with its computed X-ray diffraction stick pattern. Radiation: Cu Ka. Structure: a structure optimized by DFT (PBE).
No peak broadening, texture or thermal motion is included.

Atomic structure:
```
data_Co3CuPd2Se8
_cell_length_a 7.1325
_cell_length_b 7.1325
_cell_length_c 18.1318
_cell_angle_alpha 90.00
_cell_angle_beta 90.00
_cell_angle_gamma 120.00
_symmetry_space_group_name_H-M 'R 3 m'
_symmetry_Int_Tables_number 160
_symmetry_space_group_name_Hall 'R 3 -2"'
loop_
_atom_site_label
_atom_site_type_symbol
_atom_site_fract_x
_atom_site_fract_y
_atom_site_fract_z
Co1 Co 0.1670 0.3340 0.0000
Cu1 Cu 0.0000 0.0000 0.5386
Pd1 Pd 0.0000 0.0000 0.1669
Pd2 Pd 0.0000 0.0000 0.7949
Se1 Se 0.0000 0.0000 0.4038
Se2 Se 0.0000 0.0000 0.9321
Se3 Se 0.0255 0.5128 0.9263
Se4 Se 0.1823 0.3645 0.7397
```

The 10 most intense peaks (10 to 90 degrees two-theta), low angle first:
two_theta  d [Å]  intensity  h k l
15.15  5.847  203  1 0 1
24.97  3.566  266  1 1 0
28.54  3.127  216  0 1 5
29.07  3.071  553  1 1 3
30.58  2.923  310  2 0 2
35.16  2.552  1000  0 2 4
45.72  1.985  238  0 2 7
46.25  1.963  299  1 2 5
49.91  1.827  698  2 0 8
51.23  1.783  736  2 2 0



Entry 4:
This entry pairs a crystal structure of CeSi3RuRh with its computed X-ray diffraction stick pattern. Radiation: Cu Ka. Structure: a structure optimized by DFT (PBE).
No peak broadening, texture or thermal motion is included.

Atomic structure:
```
data_CeSi3RuRh
_cell_length_a 7.286
_cell_length_b 11.504
_cell_length_c 5.586
_cell_angle_alpha 90.00
_cell_angle_beta 90.00
_cell_angle_gamma 90.00
_symmetry_space_group_name_H-M 'C m c m'
_symmetry_Int_Tables_number 63
_symmetry_space_group_name_Hall '-C 2c 2'
loop_
_atom_site_label
_atom_site_type_symbol
_atom_site_fract_x
_atom_site_fract_y
_atom_site_fract_z
Ce1 Ce 0.000 0.247 0.250
Si1 Si 0.000 0.247 0.750
Si2 Si 0.249 0.500 0.000
Ru1 Ru 0.000 0.056 0.750
Rh1 Rh 0.000 0.438 0.750
```

The 10 most intense peaks (10 to 90 degrees two-theta), low angle first:
two_theta  d [Å]  intensity  h k l
24.43  3.643  522  2 0 0
30.83  2.900  1000  1 3 1
31.10  2.876  163  0 4 0
32.05  2.793  260  0 0 2
40.71  2.216  493  2 0 2
47.19  1.926  305  3 3 1
50.08  1.821  134  4 0 0
52.10  1.756  148  2 4 2
54.05  1.697  139  2 6 0
56.36  1.632  179  1 3 3